Entry 1:
Diffraction record for CsCrGa2Cl8. The powder X-ray diffraction pattern is simulated, not measured: it uses a structure optimized by DFT (PBE) and copper Kα.
Neutral-atom scattering factors, no anomalous dispersion.

Crystal structure
abc: 10.421 10.421 10.421
angles: 36.79 36.79 36.79
Atoms (fractional coordinates):
Cs1 0.000 0.000 0.000
Cr1 0.500 0.500 0.500
Ga1 0.244 0.244 0.244
Ga2 0.756 0.756 0.756
Cl1 0.111 0.763 0.464
Cl2 0.237 0.536 0.889
Cl3 0.320 0.320 0.320
Cl4 0.464 0.111 0.763
Cl5 0.536 0.889 0.237
Cl6 0.680 0.680 0.680
Cl7 0.763 0.464 0.111
Cl8 0.889 0.237 0.536

Most intense lines, 2θ from 5° to 70°, sorted by position:
2θ = 19.79°, rel. 100; 2θ = 27.12°, rel. 37; 2θ = 27.57°, rel. 22; 2θ = 28.66°, rel. 45; 2θ = 29.12°, rel. 22; 2θ = 32.90°, rel. 26; 2θ = 33.80°, rel. 20; 2θ = 40.21°, rel. 12; 2θ = 43.85°, rel. 22; 2θ = 46.52°, rel. 36; 2θ = 47.91°, rel. 31; 2θ = 56.17°, rel. 15

Entry 2:
Diffraction record for Cs2BaHoI6. The powder X-ray diffraction pattern is simulated, not measured: it uses a structure optimized by DFT (PBE) and copper Kα.
Neutral-atom scattering factors, no anomalous dispersion.

Crystal structure
abc: 8.803 12.839 9.394
angles: 90.00 90.00 90.00
Atoms (fractional coordinates):
Cs1 0.250 0.031 0.208
Cs2 0.250 0.469 0.208
Cs3 0.750 0.531 0.792
Cs4 0.750 0.969 0.792
Ba1 0.250 0.250 0.723
Ba2 0.750 0.750 0.277
Ho1 0.250 0.750 0.774
Ho2 0.750 0.250 0.226
I1 0.003 0.750 0.549
I2 0.012 0.750 0.008
I3 0.250 0.513 0.771
I4 0.250 0.987 0.771
I5 0.488 0.750 0.008
I6 0.497 0.750 0.549
I7 0.503 0.250 0.451
I8 0.512 0.250 0.992
I9 0.750 0.013 0.229
I10 0.750 0.487 0.229
I11 0.988 0.250 0.992
I12 0.997 0.250 0.451

Most intense lines, 2θ from 5° to 70°, sorted by position:
2θ = 11.67°, rel. 9; 2θ = 13.79°, rel. 31; 2θ = 19.55°, rel. 17; 2θ = 23.47°, rel. 28; 2θ = 24.52°, rel. 30; 2θ = 27.78°, rel. 100; 2θ = 31.14°, rel. 14; 2θ = 38.33°, rel. 8; 2θ = 39.70°, rel. 44; 2θ = 41.00°, rel. 14; 2θ = 50.27°, rel. 13; 2θ = 57.39°, rel. 8

Entry 3:
Diffraction record for LiMnB14. The powder X-ray diffraction pattern is simulated, not measured: it uses a structure optimized by DFT (PBE) and copper Kα.
Neutral-atom scattering factors, no anomalous dispersion.

Crystal structure
abc: 7.181 7.181 7.181
angles: 131.96 88.66 110.78
Atoms (fractional coordinates):
Li1 0.412 0.162 0.250
Li2 0.588 0.838 0.750
Mn1 0.000 0.000 0.500
Mn2 0.000 0.500 0.000
B1 0.038 0.887 0.151
B2 0.039 0.210 0.334
B3 0.039 0.705 0.829
B4 0.078 0.668 0.410
B5 0.204 0.537 0.667
B6 0.226 0.507 0.402
B7 0.226 0.824 0.719
B8 0.236 0.887 0.349
B9 0.242 0.332 0.910
B10 0.370 0.537 0.833
B11 0.376 0.210 0.671
B12 0.376 0.705 0.166
B13 0.395 0.176 0.902
B14 0.395 0.493 0.219
B15 0.605 0.507 0.781
B16 0.605 0.824 0.098
B17 0.624 0.295 0.834
B18 0.624 0.790 0.329
B19 0.630 0.463 0.167
B20 0.758 0.668 0.090
B21 0.764 0.113 0.651
B22 0.774 0.176 0.281
B23 0.774 0.493 0.598
B24 0.796 0.463 0.333
B25 0.922 0.332 0.590
B26 0.961 0.295 0.171
B27 0.961 0.790 0.666
B28 0.962 0.113 0.849

Most intense lines, 2θ from 5° to 70°, sorted by position:
2θ = 13.86°, rel. 100; 2θ = 18.67°, rel. 7; 2θ = 27.93°, rel. 12; 2θ = 28.26°, rel. 13; 2θ = 33.72°, rel. 13; 2θ = 41.55°, rel. 9; 2θ = 41.89°, rel. 17; 2θ = 42.13°, rel. 19; 2θ = 42.45°, rel. 10; 2θ = 52.47°, rel. 6; 2θ = 53.22°, rel. 8; 2θ = 66.24°, rel. 6

Entry 4:
Diffraction record for LiCrPd5. The powder X-ray diffraction pattern is simulated, not measured: it uses a structure optimized by DFT (PBE) and copper Kα.
Neutral-atom scattering factors, no anomalous dispersion.

Crystal structure
abc: 4.564 4.564 10.591
angles: 90.00 90.00 75.96
Atoms (fractional coordinates):
Li1 0.134 0.866 0.750
Li2 0.866 0.134 0.250
Cr1 0.500 0.500 0.000
Cr2 0.500 0.500 0.500
Pd1 0.068 0.341 0.612
Pd2 0.068 0.341 0.888
Pd3 0.341 0.068 0.112
Pd4 0.341 0.068 0.388
Pd5 0.445 0.555 0.250
Pd6 0.555 0.445 0.750
Pd7 0.659 0.932 0.612
Pd8 0.659 0.932 0.888
Pd9 0.932 0.659 0.112
Pd10 0.932 0.659 0.388

Most intense lines, 2θ from 5° to 70°, sorted by position:
2θ = 21.76°, rel. 39; 2θ = 24.75°, rel. 31; 2θ = 33.00°, rel. 32; 2θ = 33.86°, rel. 21; 2θ = 39.66°, rel. 48; 2θ = 40.76°, rel. 15; 2θ = 40.92°, rel. 58; 2θ = 41.07°, rel. 83; 2θ = 41.68°, rel. 76; 2θ = 42.39°, rel. 100; 2θ = 48.54°, rel. 29; 2θ = 48.68°, rel. 31

Q: What is the formula in the first record?
A: CsCrGa2Cl8